Starting from a crystal structure in the Materials Project, relaxed with GGA+U, the powder X-ray diffraction pattern of Li4Mn3Cr5O16 was calculated for Cu Kα (weighted mean of Kα1 and Kα2).
Lines closer than 0.1° are merged.

Most intense lines, 2θ from 10° to 90°, sorted by position:
2θ/deg  I_rel  h k l
18.78  100  0 0 2
19.83  83  2 0 -1
19.94  71  1 1 1
36.67  37  2 2 -1
36.79  40  4 0 1
45.88  32  2 2 -3
46.12  46  4 0 3
63.62  62  0 4 0

Structural model:
abc: 10.139 5.846 9.451
angles: 90.00 90.52 90.00
Space group Cm (No. 8)
Unique sites:
Li: 0.000 0.000 0.000 x2
Li: 0.002 0.000 0.503 x2
Li: 0.164 0.500 0.895 x2
Li: 0.329 0.000 0.396 x2
Mn: 0.084 0.254 0.218 x4
Mn: 0.169 0.000 0.719 x2
Cr: 0.168 0.500 0.490 x2
Cr: 0.330 0.500 0.218 x2
Cr: 0.336 0.000 0.990 x2
Cr: 0.415 0.246 0.715 x4
O: 0.004 0.000 0.315 x2
O: 0.004 0.000 0.814 x2
O: 0.017 0.500 0.341 x2
O: 0.082 0.245 0.606 x4
O: 0.160 0.500 0.112 x2
O: 0.162 0.000 0.108 x2
O: 0.236 0.276 0.343 x4
O: 0.258 0.220 0.842 x4
O: 0.327 0.000 0.608 x2
O: 0.335 0.500 0.607 x2
O: 0.422 0.255 0.104 x4
O: 0.479 0.000 0.843 x2

---

Starting from a crystal structure in the Materials Project, relaxed with GGA+U, the powder X-ray diffraction pattern of LaFeO3 was calculated for Cu Kα (weighted mean of Kα1 and Kα2).
Lines closer than 0.1° are merged.

Most intense lines, 2θ from 10° to 90°, sorted by position:
2θ/deg  I_rel  h k l
22.44  29  0 1 2
31.73  96  1 1 0
32.16  100  1 0 4
39.22  22  2 0 2
45.81  58  0 2 4
56.53  25  3 0 0
56.80  41  2 1 4
57.61  19  0 1 8

Structural model:
abc: 5.6397 5.6397 13.5463
angles: 90.00 90.00 120.00
Space group R-3c (No. 167, hexagonal axes)
Unique sites:
La: 0.0000 0.0000 0.2500 x6
Fe: 0.0000 0.0000 0.0000 x6
O: 0.0000 0.4244 0.2500 x18

---

Starting from a crystal structure in the Materials Project, relaxed with GGA+U, the powder X-ray diffraction pattern of Sr2ZnMoO6 was calculated for Cu Kα (weighted mean of Kα1 and Kα2).
Lines closer than 0.1° are merged.

Most intense lines, 2θ from 10° to 90°, sorted by position:
2θ/deg  I_rel  h k l
31.41  100  1 1 2
31.59  53  2 0 0
44.74  19  0 0 4
45.28  34  2 2 0
55.79  21  2 0 4
56.14  41  1 3 2
65.55  20  2 2 4
74.99  10  4 2 0

Structural model:
abc: 5.664 5.664 8.103
angles: 90.00 90.00 90.00
Space group I4/m (No. 87)
Unique sites:
Sr: 0.000 0.500 0.250 x4
Zn: 0.000 0.000 0.000 x2
Mo: 0.000 0.000 0.500 x2
O: 0.000 0.000 0.260 x4
O: 0.201 0.278 0.500 x8